For LaNb2CuClO7, the PBE geometry in Alexandria gives the calculated powder diffraction line list in this record (Cu Kα (weighted mean of Kα1 and Kα2)).
Lines closer than 0.1° are merged.

Largest 8 diffraction maxima, by angle, 2θ from 10° to 90°:
| index | two_theta | I (rel.) |
| --- | --- | --- |
| 0 0 3 | 22.5 | 25.8 |
| 2 0 1 | 23.8 | 15.4 |
| 0 2 2 | 27.2 | 51.1 |
| 2 2 0 | 32.1 | 100.0 |
| 2 2 4 | 44.7 | 17.3 |
| 0 4 0 | 46.0 | 25.7 |
| 4 0 0 | 46.1 | 11.5 |
| 4 2 3 | 57.2 | 37.7 |

Cell and atoms:
```
data_LaNb2CuClO7
_space_group_name_H-M_alt 'P b a m'
_space_group_IT_number 55
_cell_length_a 7.8719
_cell_length_b 7.8920
_cell_length_c 11.8444
_cell_angle_alpha 90.00
_cell_angle_beta 90.00
_cell_angle_gamma 90.00
loop_
_space_group_symop_operation_xyz
'x,y,z'
'-x,-y,-z'
'-x,-y,z'
'x,y,-z'
'x+1/2,-y+1/2,-z'
'-x+1/2,y+1/2,z'
'-x+1/2,y+1/2,-z'
'x+1/2,-y+1/2,z'
loop_
_atom_site_label
_atom_site_fract_x
_atom_site_fract_y
_atom_site_fract_z
_atom_site_occupancy
La1 0.0001 0.2379 0.0000 1
Nb1 0.2478 0.4997 0.1911 1
Cu1 0.2291 0.4913 0.5000 1
Cl1 0.0834 0.2278 0.5000 1
O1 0.0000 0.0000 0.1840 1
O2 0.0000 0.5000 0.1337 1
O3 0.2008 0.9997 0.0000 1
O4 0.2176 0.4984 0.3423 1
O5 0.2502 0.2498 0.1523 1
```



For Cu3B5Pt9, the PBE geometry in Alexandria gives the calculated powder diffraction line list in this record (Cu Kα (weighted mean of Kα1 and Kα2)).
Lines closer than 0.1° are merged.

Largest 8 diffraction maxima, by angle, 2θ from 10° to 90°:
| index | two_theta | I (rel.) |
| --- | --- | --- |
| 2 1 0 | 30.0 | 51.5 |
| 1 0 1 | 32.0 | 47.1 |
| 3 0 0 | 34.1 | 32.8 |
| 3 1 0 | 41.3 | 75.3 |
| 2 1 1 | 42.9 | 100.0 |
| 4 0 0 | 46.1 | 27.8 |
| 2 2 1 | 50.4 | 49.0 |
| 5 1 1 | 74.1 | 31.4 |

Cell and atoms:
```
data_Cu3B5Pt9
_space_group_name_H-M_alt 'P -6 2 m'
_space_group_IT_number 189
_space_group_name_Hall 'P -6 -2'
_cell_length_a 9.0990
_cell_length_b 9.0990
_cell_length_c 2.9876
_cell_angle_alpha 90.00
_cell_angle_beta 90.00
_cell_angle_gamma 120.00
loop_
_atom_site_label
_atom_site_fract_x
_atom_site_fract_y
_atom_site_fract_z
_atom_site_occupancy
Cu1 0.0000 0.4588 0.0000 1
B1 0.0000 0.8118 0.5000 1
B2 0.3333 0.6667 0.0000 1
Pt1 0.0000 0.1766 0.0000 1
Pt2 0.1965 0.7353 0.5000 1
```



For Pm4SeS3, the PBE geometry in Alexandria gives the calculated powder diffraction line list in this record (Cu Kα (weighted mean of Kα1 and Kα2)).
Lines closer than 0.1° are merged.

Largest 8 diffraction maxima, by angle, 2θ from 10° to 90°:
| index | two_theta | I (rel.) |
| --- | --- | --- |
| 2 2 0 | 26.6 | 26.5 |
| 0 2 1 | 26.9 | 26.7 |
| 2 0 1 | 31.0 | 100.0 |
| 2 4 1 | 44.4 | 47.8 |
| 0 0 2 | 44.8 | 12.1 |
| 4 4 0 | 54.9 | 12.1 |
| 0 4 2 | 55.5 | 12.5 |
| 4 4 2 | 73.4 | 20.2 |

Cell and atoms:
```
data_Pm4SeS3
_space_group_name_H-M_alt 'C m m m'
_space_group_IT_number 65
_space_group_name_Hall '-C 2 2'
_cell_length_a 8.2167
_cell_length_b 11.5430
_cell_length_c 4.0434
_cell_angle_alpha 90.00
_cell_angle_beta 90.00
_cell_angle_gamma 90.00
loop_
_atom_site_label
_atom_site_fract_x
_atom_site_fract_y
_atom_site_fract_z
_atom_site_occupancy
Pm1 0.0000 0.2415 0.0000 1
Pm2 0.2333 0.0000 0.5000 1
Se1 0.0000 0.5000 0.0000 1
S1 0.0000 0.0000 0.0000 1
S2 0.2500 0.2500 0.5000 1
```



For Pu3Mn4Ga2, the PBE geometry in Alexandria gives the calculated powder diffraction line list in this record (Cu Kα (weighted mean of Kα1 and Kα2)).
Lines closer than 0.1° are merged.

Largest 8 diffraction maxima, by angle, 2θ from 10° to 90°:
| index | two_theta | I (rel.) |
| --- | --- | --- |
| 0 2 1 | 22.5 | 50.5 |
| 3 1 -1 | 29.4 | 50.1 |
| 0 4 0 | 30.7 | 65.0 |
| 2 2 1 | 31.0 | 100.0 |
| 1 1 -2 | 33.5 | 57.1 |
| 3 3 -1 | 36.7 | 54.8 |
| 1 3 -2 | 40.2 | 51.6 |
| 1 5 -2 | 51.4 | 39.8 |

Cell and atoms:
```
data_Pu3Mn4Ga2
_space_group_name_H-M_alt 'C 1 2/c 1'
_space_group_IT_number 15
_cell_length_a 10.2293
_cell_length_b 11.6655
_cell_length_c 5.4996
_cell_angle_alpha 90.00
_cell_angle_beta 102.55
_cell_angle_gamma 90.00
loop_
_space_group_symop_operation_xyz
'x,y,z'
'-x,-y,-z'
'-x,y,-z+1/2'
'x,-y,z+1/2'
'x+1/2,y+1/2,z'
'-x+1/2,-y+1/2,-z'
'-x+1/2,y+1/2,-z+1/2'
'x+1/2,-y+1/2,z+1/2'
loop_
_atom_site_label
_atom_site_fract_x
_atom_site_fract_y
_atom_site_fract_z
_atom_site_occupancy
Pu1 0.0000 0.0998 0.2500 1
Pu2 0.1193 0.3858 0.5942 1
Mn1 0.0940 0.3466 0.0951 1
Mn2 0.2364 0.0107 0.6011 1
Ga1 0.1446 0.1614 0.8506 1
```



For Tb2Y2Tc, the PBE geometry in Alexandria gives the calculated powder diffraction line list in this record (Cu Kα (weighted mean of Kα1 and Kα2)).
Lines closer than 0.1° are merged.

Largest 8 diffraction maxima, by angle, 2θ from 10° to 90°:
| index | two_theta | I (rel.) |
| --- | --- | --- |
| 2 0 -2 | 28.2 | 40.5 |
| 0 4 0 | 29.7 | 33.4 |
| 2 2 0 | 30.8 | 100.0 |
| 0 2 2 | 31.3 | 65.9 |
| 1 3 -2 | 33.1 | 65.2 |
| 1 1 2 | 36.7 | 27.8 |
| 2 4 -2 | 41.5 | 36.5 |
| 2 0 -4 | 49.8 | 24.0 |

Cell and atoms:
```
data_Tb2Y2Tc
_space_group_name_H-M_alt 'C 1 2/m 1'
_space_group_IT_number 12
_cell_length_a 7.4706
_cell_length_b 12.0237
_cell_length_c 7.3255
_cell_angle_alpha 90.00
_cell_angle_beta 117.35
_cell_angle_gamma 90.00
loop_
_space_group_symop_operation_xyz
'x,y,z'
'-x,-y,-z'
'-x,y,-z'
'x,-y,z'
'x+1/2,y+1/2,z'
'-x+1/2,-y+1/2,-z'
'-x+1/2,y+1/2,-z'
'x+1/2,-y+1/2,z'
loop_
_atom_site_label
_atom_site_fract_x
_atom_site_fract_y
_atom_site_fract_z
_atom_site_occupancy
Tb1 0.0472 0.2249 0.2521 1
Y1 0.2255 0.5000 0.8957 1
Y2 0.2397 0.0000 0.5913 1
Tc1 0.0000 0.3717 0.5000 1
```



For BaTlTcPb, the PBE geometry in Alexandria gives the calculated powder diffraction line list in this record (Cu Kα (weighted mean of Kα1 and Kα2)).
Lines closer than 0.1° are merged.

Largest 8 diffraction maxima, by angle, 2θ from 10° to 90°:
| index | two_theta | I (rel.) |
| --- | --- | --- |
| 1 1 0 | 25.3 | 100.0 |
| 0 1 3 | 30.5 | 90.4 |
| 1 0 3 | 31.1 | 98.2 |
| 0 2 0 | 35.1 | 47.0 |
| 2 0 0 | 37.1 | 40.3 |
| 1 2 3 | 47.6 | 61.2 |
| 2 1 3 | 48.8 | 49.9 |
| 1 1 6 | 57.9 | 40.2 |

Cell and atoms:
```
data_BaTlTcPb
_space_group_name_H-M_alt 'I m m 2'
_space_group_IT_number 44
_cell_length_a 4.8424
_cell_length_b 5.1191
_cell_length_c 10.7191
_cell_angle_alpha 90.00
_cell_angle_beta 90.00
_cell_angle_gamma 90.00
loop_
_space_group_symop_operation_xyz
'x,y,z'
'-x,-y,z'
'-x,y,z'
'x,-y,z'
'x+1/2,y+1/2,z+1/2'
'-x+1/2,-y+1/2,z+1/2'
'-x+1/2,y+1/2,z+1/2'
'x+1/2,-y+1/2,z+1/2'
loop_
_atom_site_label
_atom_site_fract_x
_atom_site_fract_y
_atom_site_fract_z
_atom_site_occupancy
Ba1 0.0000 0.0000 0.0000 1
Tl1 0.0000 0.0000 0.3388 1
Tc1 0.0000 0.5000 0.2562 1
Pb1 0.0000 0.0000 0.6527 1
```



For RbMnAsBr2, the PBE geometry in Alexandria gives the calculated powder diffraction line list in this record (Cu Kα (weighted mean of Kα1 and Kα2)).
Lines closer than 0.1° are merged.

Largest 8 diffraction maxima, by angle, 2θ from 10° to 90°:
| index | two_theta | I (rel.) |
| --- | --- | --- |
| 1 1 1 | 29.3 | 100.0 |
| 2 0 0 | 31.9 | 79.6 |
| 0 0 2 | 37.7 | 25.1 |
| 2 2 0 | 45.8 | 28.3 |
| 2 0 2 | 50.2 | 42.8 |
| 3 1 1 | 55.3 | 32.7 |
| 2 2 2 | 60.8 | 23.8 |
| 4 2 2 | 88.1 | 17.3 |

Cell and atoms:
```
data_RbMnAsBr2
_space_group_name_H-M_alt 'P 4/m m m'
_space_group_IT_number 123
_space_group_name_Hall '-P 4 2'
_cell_length_a 5.6028
_cell_length_b 5.6028
_cell_length_c 4.7702
_cell_angle_alpha 90.00
_cell_angle_beta 90.00
_cell_angle_gamma 90.00
loop_
_atom_site_label
_atom_site_fract_x
_atom_site_fract_y
_atom_site_fract_z
_atom_site_occupancy
Rb1 0.0000 0.0000 0.0000 1
Mn1 0.5000 0.5000 0.5000 1
As1 0.5000 0.5000 0.0000 1
Br1 0.0000 0.5000 0.5000 1
```



For PaNiSnS4, the PBE geometry in Alexandria gives the calculated powder diffraction line list in this record (Cu Kα (weighted mean of Kα1 and Kα2)).
Lines closer than 0.1° are merged.

Largest 8 diffraction maxima, by angle, 2θ from 10° to 90°:
| index | two_theta | I (rel.) |
| --- | --- | --- |
| 0 0 1 | 11.3 | 75.0 |
| 1 1 0 | 21.2 | 100.0 |
| 1 1 -2 | 28.1 | 55.3 |
| 2 0 -2 | 31.2 | 51.7 |
| 0 2 0 | 31.6 | 53.6 |
| 1 1 2 | 34.3 | 58.2 |
| 2 2 0 | 43.2 | 46.3 |
| 1 0 -4 | 44.4 | 35.6 |

Cell and atoms:
```
data_PaNiSnS4
_space_group_name_H-M_alt 'P 1 21/m 1'
_space_group_IT_number 11
_cell_length_a 6.4949
_cell_length_b 5.6590
_cell_length_c 8.1601
_cell_angle_alpha 90.00
_cell_angle_beta 106.81
_cell_angle_gamma 90.00
loop_
_space_group_symop_operation_xyz
'x,y,z'
'-x,-y,-z'
'-x,y+1/2,-z'
'x,-y+1/2,z'
loop_
_atom_site_label
_atom_site_fract_x
_atom_site_fract_y
_atom_site_fract_z
_atom_site_occupancy
Pa1 0.2443 0.2500 0.4454 1
Ni1 0.2644 0.7500 0.6562 1
Sn1 0.2084 0.2500 0.9541 1
S1 0.0641 0.7500 0.3929 1
S2 0.0737 0.7500 0.8595 1
S3 0.4802 0.5094 0.2744 1
```



For Na5Mg2Te5, the PBE geometry in Alexandria gives the calculated powder diffraction line list in this record (Cu Kα (weighted mean of Kα1 and Kα2)).
Lines closer than 0.1° are merged.

Largest 8 diffraction maxima, by angle, 2θ from 10° to 90°:
| index | two_theta | I (rel.) |
| --- | --- | --- |
| 2 1 1 | 22.6 | 100.0 |
| 0 0 2 | 25.0 | 21.3 |
| 3 0 1 | 28.3 | 30.1 |
| 4 0 0 | 34.0 | 22.9 |
| 2 2 2 | 34.8 | 20.6 |
| 3 1 2 | 36.9 | 19.5 |
| 4 0 2 | 42.6 | 34.4 |
| 5 2 1 | 48.2 | 26.0 |

Cell and atoms:
```
data_Na5Mg2Te5
_space_group_name_H-M_alt 'I 4 m m'
_space_group_IT_number 107
_space_group_name_Hall 'I 4 -2'
_cell_length_a 10.5466
_cell_length_b 10.5466
_cell_length_c 7.1303
_cell_angle_alpha 90.00
_cell_angle_beta 90.00
_cell_angle_gamma 90.00
loop_
_atom_site_label
_atom_site_fract_x
_atom_site_fract_y
_atom_site_fract_z
_atom_site_occupancy
Na1 0.0000 0.0000 0.0000 1
Na2 0.2024 0.2024 0.4206 1
Mg1 0.0000 0.5000 0.3356 1
Te1 0.0000 0.0000 0.5471 1
Te2 0.0000 0.2948 0.0873 1
```



For TmThTePt, the PBE geometry in Alexandria gives the calculated powder diffraction line list in this record (Cu Kα (weighted mean of Kα1 and Kα2)).
Lines closer than 0.1° are merged.

Largest 8 diffraction maxima, by angle, 2θ from 10° to 90°:
| index | two_theta | I (rel.) |
| --- | --- | --- |
| 0 0 3 | 11.8 | 23.7 |
| 0 1 2 | 25.8 | 39.4 |
| 0 1 5 | 31.7 | 100.0 |
| 1 0 7 | 37.4 | 32.1 |
| 1 1 0 | 43.2 | 52.1 |
| 1 0 10 | 47.6 | 20.5 |
| 2 0 5 | 54.5 | 22.0 |
| 1 2 5 | 72.0 | 19.4 |

Cell and atoms:
```
data_TmThTePt
_space_group_name_H-M_alt 'R 3 m'
_space_group_IT_number 160
_space_group_name_Hall 'R 3 -2"'
_cell_length_a 4.1911
_cell_length_b 4.1911
_cell_length_c 22.4587
_cell_angle_alpha 90.00
_cell_angle_beta 90.00
_cell_angle_gamma 120.00
loop_
_atom_site_label
_atom_site_fract_x
_atom_site_fract_y
_atom_site_fract_z
_atom_site_occupancy
Tm1 0.0000 0.0000 0.0000 1
Th1 0.0000 0.0000 0.8051 1
Te1 0.0000 0.0000 0.2383 1
Pt1 0.0000 0.0000 0.4012 1
```



For AlTl8Te6, the PBE geometry in Alexandria gives the calculated powder diffraction line list in this record (Cu Kα (weighted mean of Kα1 and Kα2)).
Lines closer than 0.1° are merged.

Largest 8 diffraction maxima, by angle, 2θ from 10° to 90°:
| index | two_theta | I (rel.) |
| --- | --- | --- |
| 0 2 2 | 23.0 | 42.8 |
| 2 0 2 | 24.5 | 83.6 |
| 0 3 1 | 27.4 | 61.3 |
| 2 2 2 | 30.3 | 83.1 |
| 2 1 3 | 31.0 | 100.0 |
| 2 3 1 | 33.8 | 65.2 |
| 4 0 0 | 39.4 | 49.1 |
| 2 2 4 | 40.2 | 49.1 |

Cell and atoms:
```
data_AlTl8Te6
_space_group_name_H-M_alt 'P m n 21'
_space_group_IT_number 31
_cell_length_a 9.1424
_cell_length_b 10.1464
_cell_length_c 11.9562
_cell_angle_alpha 90.00
_cell_angle_beta 90.00
_cell_angle_gamma 90.00
loop_
_space_group_symop_operation_xyz
'x,y,z'
'-x+1/2,-y,z+1/2'
'-x,y,z'
'x+1/2,-y,z+1/2'
loop_
_atom_site_label
_atom_site_fract_x
_atom_site_fract_y
_atom_site_fract_z
_atom_site_occupancy
Al1 0.0000 0.2308 0.0000 1
Tl1 0.0000 0.7465 0.9315 1
Tl2 0.0000 0.8464 0.5628 1
Tl3 0.2113 0.4470 0.3432 1
Tl4 0.2192 0.3116 0.6193 1
Tl5 0.2482 0.0655 0.2858 1
Te1 0.0000 0.0032 0.1090 1
Te2 0.0000 0.1522 0.4555 1
Te3 0.0000 0.4505 0.1221 1
Te4 0.0000 0.5469 0.6765 1
Te5 0.2469 0.2301 0.8824 1
```



For Li2Zr3Se6, the PBE geometry in Alexandria gives the calculated powder diffraction line list in this record (Cu Kα (weighted mean of Kα1 and Kα2)).
Lines closer than 0.1° are merged.

Largest 8 diffraction maxima, by angle, 2θ from 10° to 90°:
| index | two_theta | I (rel.) |
| --- | --- | --- |
| 0 0 1 | 13.3 | 37.1 |
| 2 0 -1 | 27.7 | 19.3 |
| 1 3 1 | 32.8 | 100.0 |
| 2 0 2 | 45.9 | 38.5 |
| 0 6 0 | 48.3 | 33.0 |
| 4 0 0 | 59.6 | 17.3 |
| 3 3 3 | 76.5 | 16.5 |
| 4 6 0 | 80.2 | 14.6 |

Cell and atoms:
```
data_Li2Zr3Se6
_space_group_name_H-M_alt 'C 1 2/m 1'
_space_group_IT_number 12
_cell_length_a 6.5258
_cell_length_b 11.3067
_cell_length_c 6.9822
_cell_angle_alpha 90.00
_cell_angle_beta 108.11
_cell_angle_gamma 90.00
loop_
_space_group_symop_operation_xyz
'x,y,z'
'-x,-y,-z'
'-x,y,-z'
'x,-y,z'
'x+1/2,y+1/2,z'
'-x+1/2,-y+1/2,-z'
'-x+1/2,y+1/2,-z'
'x+1/2,-y+1/2,z'
loop_
_atom_site_label
_atom_site_fract_x
_atom_site_fract_y
_atom_site_fract_z
_atom_site_occupancy
Li1 0.0000 0.1671 0.0000 1
Zr1 0.0000 0.0000 0.5000 1
Zr2 0.0000 0.3335 0.5000 1
Se1 0.2485 0.5000 0.7496 1
Se2 0.2501 0.1661 0.7493 1
```